Entry 1:
Simulated XRD peak list
Compound: Dy3BiSe2
Radiation: CuKα
Structure: a structure optimized by DFT (GGA-PBE)
Peak positions follow from Bragg's law for the DFT cell and can differ from measured ones.

Largest 12 diffraction maxima, in order of rising 2θ, 5 to 70 degrees two-theta:
- 6.971 Å, rel. 192
- 5.759 Å, rel. 282
- 3.961 Å, rel. 175
- 3.649 Å, rel. 139
- 3.289 Å, rel. 137
- 2.911 Å, rel. 204
- 2.729 Å, rel. 314
- 2.547 Å, rel. 1000
- 2.503 Å, rel. 240
- 2.196 Å, rel. 178
- 1.864 Å, rel. 194
- 1.539 Å, rel. 230

Unit cell a=8.0137 b=8.0137 c=8.0137 alpha=124.51 beta=94.15 gamma=111.16
Atoms (fractional coordinates):
Dy (0.0000, 0.2239, 0.2239)
Dy (0.0000, 0.7761, 0.7761)
Dy (0.5000, 0.0000, 0.0000)
Dy (0.5000, 0.2239, 0.7239)
Dy (0.5000, 0.5000, 0.5000)
Dy (0.5000, 0.7761, 0.2761)
Bi (0.1882, 0.9382, 0.2500)
Bi (0.8118, 0.0618, 0.7500)
Se (0.2584, 0.7086, 0.5498)
Se (0.3412, 0.2914, 0.0498)
Se (0.6588, 0.7086, 0.9502)
Se (0.7416, 0.2914, 0.4502)

Entry 2:
Simulated XRD peak list
Compound: TaCdInH
Radiation: CuKα
Structure: a structure optimized by DFT (GGA-PBE)
Peak positions follow from Bragg's law for the DFT cell and can differ from measured ones.

Largest 12 diffraction maxima, in order of rising 2θ, 5 to 70 degrees two-theta:
- 7.711 Å, rel. 399
- 2.790 Å, rel. 444
- 2.746 Å, rel. 219
- 2.623 Å, rel. 1000
- 2.587 Å, rel. 477
- 2.570 Å, rel. 656
- 2.260 Å, rel. 944
- 2.236 Å, rel. 453
- 1.890 Å, rel. 264
- 1.594 Å, rel. 316
- 1.354 Å, rel. 344
- 1.350 Å, rel. 229

Unit cell a=3.1876 b=3.1876 c=7.7106 alpha=90.01 beta=90.01 gamma=61.07
Atoms (fractional coordinates):
Ta (0.0000, 0.0000, 0.0000)
Cd (0.6654, 0.6654, 0.3199)
In (0.6659, 0.6659, 0.6858)
H (0.3363, 0.3363, 0.0346)

Entry 3:
Simulated XRD peak list
Compound: Sr2Ir2Ru
Radiation: CuKα
Structure: a structure optimized by DFT (GGA-PBE)
Peak positions follow from Bragg's law for the DFT cell and can differ from measured ones.

Largest 12 diffraction maxima, in order of rising 2θ, 5 to 70 degrees two-theta:
- 4.950 Å, rel. 374
- 2.997 Å, rel. 113
- 2.775 Å, rel. 131
- 2.564 Å, rel. 1000
- 2.475 Å, rel. 306
- 2.119 Å, rel. 257
- 1.948 Å, rel. 155
- 1.859 Å, rel. 84
- 1.740 Å, rel. 74
- 1.610 Å, rel. 216
- 1.486 Å, rel. 82
- 1.445 Å, rel. 171

Unit cell a=6.7018 b=6.7018 c=4.9496 alpha=90.00 beta=90.00 gamma=90.00
Atoms (fractional coordinates):
Sr (0.1809, 0.3191, 0.0000)
Sr (0.3191, 0.8191, 0.0000)
Sr (0.6809, 0.1809, 0.0000)
Sr (0.8191, 0.6809, 0.0000)
Ir (0.1322, 0.6322, 0.5000)
Ir (0.3678, 0.1322, 0.5000)
Ir (0.6322, 0.8678, 0.5000)
Ir (0.8678, 0.3678, 0.5000)
Ru (0.0000, 0.0000, 0.5000)
Ru (0.5000, 0.5000, 0.5000)

Entry 4:
Simulated XRD peak list
Compound: TbThSiSe
Radiation: CuKα
Structure: a structure optimized by DFT (GGA-PBE)
Peak positions follow from Bragg's law for the DFT cell and can differ from measured ones.

Largest 12 diffraction maxima, in order of rising 2θ, 5 to 70 degrees two-theta:
- 3.583 Å, rel. 57
- 3.428 Å, rel. 583
- 2.969 Å, rel. 1000
- 2.723 Å, rel. 59
- 2.099 Å, rel. 745
- 1.791 Å, rel. 219
- 1.788 Å, rel. 66
- 1.715 Å, rel. 202
- 1.711 Å, rel. 60
- 1.545 Å, rel. 41
- 1.484 Å, rel. 121
- 1.363 Å, rel. 89

Unit cell a=7.2613 b=7.2613 c=7.2613 alpha=33.64 beta=33.64 gamma=33.64
Atoms (fractional coordinates):
Tb (0.0000, 0.0000, 0.0000)
Th (0.4898, 0.4898, 0.4898)
Si (0.7434, 0.7434, 0.7434)
Se (0.2476, 0.2476, 0.2476)

Entry 5:
Simulated XRD peak list
Compound: Ca5TiSn4B10O30
Radiation: CuKα
Structure: a structure optimized by DFT (GGA-PBE)
Peak positions follow from Bragg's law for the DFT cell and can differ from measured ones.

Largest 12 diffraction maxima, in order of rising 2θ, 5 to 70 degrees two-theta:
- 5.414 Å, rel. 294
- 4.110 Å, rel. 311
- 3.765 Å, rel. 654
- 2.935 Å, rel. 1000
- 2.453 Å, rel. 257
- 2.234 Å, rel. 234
- 2.055 Å, rel. 260
- 1.882 Å, rel. 136
- 1.832 Å, rel. 213
- 1.818 Å, rel. 414
- 1.575 Å, rel. 195
- 1.493 Å, rel. 164

Unit cell a=4.9050 b=6.1106 c=19.1307 alpha=97.11 beta=97.35 gamma=90.03
Atoms (fractional coordinates):
Ca (0.0000, 0.0000, 0.0000)
Ca (0.2017, 0.8016, 0.4004)
Ca (0.4034, 0.6019, 0.8045)
Ca (0.5966, 0.3981, 0.1955)
Ca (0.7983, 0.1984, 0.5996)
Ti (0.5000, 0.5000, 0.0000)
Sn (0.1035, 0.9008, 0.1994)
Sn (0.3015, 0.6990, 0.6013)
Sn (0.6985, 0.3010, 0.3987)
Sn (0.8965, 0.0992, 0.8006)
B (0.0434, 0.4758, 0.0933)
B (0.1501, 0.3287, 0.3029)
B (0.2470, 0.2739, 0.4955)
B (0.3486, 0.1268, 0.7052)
B (0.4468, 0.0772, 0.8975)
B (0.5532, 0.9228, 0.1025)
B (0.6514, 0.8732, 0.2948)
B (0.7530, 0.7261, 0.5045)
B (0.8499, 0.6713, 0.6971)
B (0.9566, 0.5242, 0.9067)
O (0.0339, 0.4150, 0.8445)
O (0.0587, 0.1618, 0.4430)
O (0.0689, 0.1417, 0.7090)
O (0.1297, 0.6551, 0.6933)
O (0.1581, 0.6323, 0.9565)
O (0.1588, 0.3843, 0.5561)
O (0.2431, 0.2168, 0.2431)
O (0.2558, 0.9628, 0.8463)
O (0.2754, 0.9484, 0.1078)
O (0.3191, 0.4578, 0.0845)
O (0.3360, 0.4406, 0.3560)
O (0.3662, 0.1988, 0.9572)
O (0.4415, 0.0154, 0.6454)
O (0.4665, 0.7607, 0.2415)
O (0.4743, 0.7438, 0.5095)
O (0.5257, 0.2562, 0.4905)
O (0.5335, 0.2393, 0.7585)
O (0.5585, 0.9846, 0.3546)
O (0.6338, 0.8012, 0.0428)
O (0.6640, 0.5594, 0.6440)
O (0.6809, 0.5422, 0.9155)
O (0.7246, 0.0516, 0.8922)
O (0.7442, 0.0372, 0.1537)
O (0.7569, 0.7832, 0.7569)
O (0.8412, 0.6157, 0.4439)
O (0.8419, 0.3677, 0.0435)
O (0.8703, 0.3449, 0.3067)
O (0.9311, 0.8583, 0.2910)
O (0.9413, 0.8382, 0.5570)
O (0.9661, 0.5850, 0.1555)

Entry 6:
Simulated XRD peak list
Compound: Cs2VCCl6
Radiation: CuKα
Structure: a structure optimized by DFT (GGA-PBE)
Peak positions follow from Bragg's law for the DFT cell and can differ from measured ones.

Largest 12 diffraction maxima, in order of rising 2θ, 5 to 70 degrees two-theta:
- 5.903 Å, rel. 189
- 3.738 Å, rel. 738
- 3.424 Å, rel. 265
- 2.959 Å, rel. 1000
- 2.940 Å, rel. 346
- 2.421 Å, rel. 469
- 2.032 Å, rel. 271
- 1.869 Å, rel. 336
- 1.817 Å, rel. 157
- 1.712 Å, rel. 151
- 1.482 Å, rel. 210
- 1.479 Å, rel. 163

Unit cell a=7.6178 b=7.6178 c=7.6178 alpha=126.57 beta=126.57 gamma=78.95
Atoms (fractional coordinates):
Cs (0.2500, 0.7500, 0.5000)
Cs (0.7500, 0.2500, 0.5000)
V (0.0000, 0.0000, 0.0000)
C (0.5000, 0.5000, 0.0000)
Cl (0.2002, 0.2002, 0.0000)
Cl (0.2545, 0.2545, 0.5091)
Cl (0.2545, 0.7455, 0.0000)
Cl (0.7455, 0.2545, 0.0000)
Cl (0.7455, 0.7455, 0.4909)
Cl (0.7998, 0.7998, 0.0000)

Entry 7:
Simulated XRD peak list
Compound: V2Si2Au
Radiation: CuKα
Structure: a structure optimized by DFT (GGA-PBE)
Peak positions follow from Bragg's law for the DFT cell and can differ from measured ones.

Largest 12 diffraction maxima, in order of rising 2θ, 5 to 70 degrees two-theta:
- 4.581 Å, rel. 899
- 3.359 Å, rel. 254
- 3.239 Å, rel. 394
- 2.709 Å, rel. 925
- 2.332 Å, rel. 1000
- 2.291 Å, rel. 391
- 2.194 Å, rel. 349
- 2.049 Å, rel. 836
- 1.892 Å, rel. 259
- 1.749 Å, rel. 445
- 1.449 Å, rel. 181
- 1.390 Å, rel. 216

Unit cell a=6.4786 b=6.4786 c=3.3590 alpha=90.00 beta=90.00 gamma=90.00
Atoms (fractional coordinates):
V (0.1688, 0.3312, 0.0000)
V (0.3312, 0.8312, 0.0000)
V (0.6688, 0.1688, 0.0000)
V (0.8312, 0.6688, 0.0000)
Si (0.1274, 0.6274, 0.5000)
Si (0.3726, 0.1274, 0.5000)
Si (0.6274, 0.8726, 0.5000)
Si (0.8726, 0.3726, 0.5000)
Au (0.0000, 0.0000, 0.5000)
Au (0.5000, 0.5000, 0.5000)

Entry 8:
Simulated XRD peak list
Compound: InC7
Radiation: CuKα
Structure: a structure optimized by DFT (GGA-PBE)
Peak positions follow from Bragg's law for the DFT cell and can differ from measured ones.

Largest 9 diffraction maxima, in order of rising 2θ, 5 to 70 degrees two-theta:
- 3.895 Å, rel. 1000
- 3.373 Å, rel. 528
- 2.385 Å, rel. 423
- 2.034 Å, rel. 530
- 1.948 Å, rel. 441
- 1.687 Å, rel. 196
- 1.548 Å, rel. 219
- 1.509 Å, rel. 201
- 1.377 Å, rel. 148

Unit cell a=4.7707 b=4.7707 c=4.7707 alpha=60.00 beta=60.00 gamma=60.00
Atoms (fractional coordinates):
In (0.0000, 0.0000, 0.0000)
C (0.0000, 0.0000, 0.5000)
C (0.0000, 0.5000, 0.0000)
C (0.0000, 0.5000, 0.5000)
C (0.5000, 0.0000, 0.0000)
C (0.5000, 0.0000, 0.5000)
C (0.5000, 0.5000, 0.0000)
C (0.5000, 0.5000, 0.5000)

Entry 9:
Simulated XRD peak list
Compound: Rb2TlPbBr6
Radiation: CuKα
Structure: a structure optimized by DFT (GGA-PBE)
Peak positions follow from Bragg's law for the DFT cell and can differ from measured ones.

Largest 12 diffraction maxima, in order of rising 2θ, 5 to 70 degrees two-theta:
- 5.912 Å, rel. 705
- 4.180 Å, rel. 692
- 3.413 Å, rel. 125
- 2.956 Å, rel. 1000
- 2.644 Å, rel. 401
- 2.413 Å, rel. 342
- 2.090 Å, rel. 743
- 1.971 Å, rel. 203
- 1.871 Å, rel. 108
- 1.707 Å, rel. 262
- 1.581 Å, rel. 127
- 1.435 Å, rel. 84

Unit cell a=8.3568 b=8.3568 c=8.3568 alpha=119.91 beta=119.91 gamma=90.16
Atoms (fractional coordinates):
Rb (0.2500, 0.7500, 0.5000)
Rb (0.7500, 0.2500, 0.5000)
Tl (0.0000, 0.0000, 0.0000)
Pb (0.5000, 0.5000, 0.0000)
Br (0.2510, 0.2510, 0.0000)
Br (0.2512, 0.2512, 0.5023)
Br (0.2512, 0.7488, 0.0000)
Br (0.7488, 0.2512, 0.0000)
Br (0.7490, 0.7490, 0.0000)
Br (0.7488, 0.7488, 0.4977)

Entry 10:
Simulated XRD peak list
Compound: PmDy5Er3
Radiation: CuKα
Structure: a structure optimized by DFT (GGA-PBE)
Peak positions follow from Bragg's law for the DFT cell and can differ from measured ones.

Largest 12 diffraction maxima, in order of rising 2θ, 5 to 70 degrees two-theta:
- 3.492 Å, rel. 64
- 2.884 Å, rel. 118
- 2.831 Å, rel. 1000
- 2.793 Å, rel. 985
- 2.181 Å, rel. 75
- 1.988 Å, rel. 337
- 1.746 Å, rel. 92
- 1.620 Å, rel. 324
- 1.612 Å, rel. 154
- 1.544 Å, rel. 59
- 1.480 Å, rel. 303
- 1.396 Å, rel. 85

Unit cell a=9.6755 b=9.6755 c=6.9830 alpha=90.00 beta=90.00 gamma=59.98
Atoms (fractional coordinates):
Pm (0.1952, 0.8048, 0.7500)
Pm (0.8048, 0.1952, 0.2500)
Dy (0.1401, 0.8599, 0.2500)
Dy (0.1419, 0.5001, 0.7500)
Dy (0.1930, 0.4994, 0.2500)
Dy (0.4994, 0.1930, 0.7500)
Dy (0.5001, 0.1419, 0.2500)
Dy (0.4999, 0.8581, 0.7500)
Dy (0.5006, 0.8070, 0.2500)
Dy (0.8070, 0.5006, 0.7500)
Dy (0.8581, 0.4999, 0.2500)
Dy (0.8599, 0.1401, 0.7500)
Er (0.1689, 0.1689, 0.0000)
Er (0.1689, 0.1689, 0.5000)
Er (0.5000, 0.5000, 0.0000)
Er (0.5000, 0.5000, 0.5000)
Er (0.8311, 0.8311, 0.0000)
Er (0.8311, 0.8311, 0.5000)

Entry 11:
Simulated XRD peak list
Compound: Cs2ErF5
Radiation: CuKα
Structure: a structure optimized by DFT (GGA-PBE)
Peak positions follow from Bragg's law for the DFT cell and can differ from measured ones.

Largest 12 diffraction maxima, in order of rising 2θ, 5 to 70 degrees two-theta:
- 3.624 Å, rel. 1000
- 3.550 Å, rel. 301
- 3.519 Å, rel. 473
- 3.400 Å, rel. 277
- 3.201 Å, rel. 421
- 3.104 Å, rel. 228
- 3.041 Å, rel. 239
- 2.377 Å, rel. 260
- 2.205 Å, rel. 293
- 2.110 Å, rel. 132
- 1.978 Å, rel. 133
- 1.920 Å, rel. 165

Unit cell a=8.4249 b=6.4013 c=13.1865 alpha=90.00 beta=90.00 gamma=90.00
Atoms (fractional coordinates):
Cs (0.0004, 0.2500, 0.2365)
Cs (0.9996, 0.7500, 0.7635)
Cs (0.1522, 0.2500, 0.5869)
Cs (0.3478, 0.7500, 0.0869)
Cs (0.5004, 0.2500, 0.2635)
Cs (0.4996, 0.7500, 0.7365)
Cs (0.6522, 0.2500, 0.9131)
Cs (0.8478, 0.7500, 0.4131)
Er (0.1628, 0.2500, 0.9396)
Er (0.3372, 0.7500, 0.4396)
Er (0.6628, 0.2500, 0.5604)
Er (0.8372, 0.7500, 0.0604)
F (0.0000, 0.0000, 0.0000)
F (0.0000, 0.5000, 0.0000)
F (0.0226, 0.2500, 0.8049)
F (0.1815, 0.5093, 0.3910)
F (0.1815, 0.9907, 0.3910)
F (0.2298, 0.7500, 0.5895)
F (0.2702, 0.2500, 0.0895)
F (0.3185, 0.0093, 0.8910)
F (0.3185, 0.4907, 0.8910)
F (0.4774, 0.7500, 0.3049)
F (0.5000, 0.0000, 0.5000)
F (0.5000, 0.5000, 0.5000)
F (0.5226, 0.2500, 0.6951)
F (0.6815, 0.5093, 0.1090)
F (0.6815, 0.9907, 0.1090)
F (0.7298, 0.7500, 0.9105)
F (0.7702, 0.2500, 0.4105)
F (0.8185, 0.0093, 0.6090)
F (0.8185, 0.4907, 0.6090)
F (0.9774, 0.7500, 0.1951)

Entry 12:
Simulated XRD peak list
Compound: Li3Cu3P2O8
Radiation: CuKα
Structure: a structure optimized by DFT (GGA-PBE)
Peak positions follow from Bragg's law for the DFT cell and can differ from measured ones.

Largest 12 diffraction maxima, in order of rising 2θ, 5 to 70 degrees two-theta:
- 6.191 Å, rel. 462
- 5.616 Å, rel. 1000
- 3.937 Å, rel. 166
- 2.808 Å, rel. 441
- 2.711 Å, rel. 261
- 2.646 Å, rel. 300
- 2.552 Å, rel. 701
- 2.397 Å, rel. 315
- 2.391 Å, rel. 171
- 2.316 Å, rel. 137
- 1.811 Å, rel. 300
- 1.602 Å, rel. 124

Unit cell a=5.1015 b=6.1913 c=5.6166 alpha=90.00 beta=90.41 gamma=90.00
Atoms (fractional coordinates):
Li (0.0000, 0.0000, 0.0000)
Li (0.4947, 0.2461, 0.1681)
Li (0.4947, 0.7539, 0.1681)
Cu (0.4289, 0.5000, 0.5922)
Cu (0.9574, 0.3012, 0.5223)
Cu (0.9574, 0.6988, 0.5223)
P (0.0010, 0.5000, 0.0542)
P (0.5058, 0.0000, 0.6820)
O (0.3028, 0.5000, 0.0600)
O (0.3937, 0.0000, 0.9388)
O (0.4073, 0.1974, 0.5309)
O (0.4073, 0.8026, 0.5309)
O (0.8108, 0.0000, 0.6924)
O (0.8866, 0.5000, 0.7973)
O (0.8918, 0.2864, 0.1704)
O (0.8918, 0.7136, 0.1704)